Diffraction record for Hf5TlGa2. The XRD peak list is calculated, not measured: it uses a DFT-relaxed cell (PBE, Alexandria) and Cu Kα.

Crystal structure
```
data_Hf5TlGa2
_chemical_formula_sum 'Hf20 Tl4 Ga8'
_symmetry_space_group_name_H-M 'I 4/m c m'
_symmetry_Int_Tables_number 140
_symmetry_space_group_name_Hall '-I 4 2c'
_cell_length_a 7.280
_cell_length_b 7.280
_cell_length_c 12.426
_cell_angle_alpha 90.00
_cell_angle_beta 90.00
_cell_angle_gamma 90.00
loop_
_atom_site_label
_atom_site_fract_x
_atom_site_fract_y
_atom_site_fract_z
Hf1 0.000 0.000 0.000
Hf2 0.154 0.346 0.150
Tl1 0.000 0.000 0.250
Ga1 0.141 0.359 0.500
```

Top 12 peaks for 2θ = 5–70°, in order of falling intensity:
hkl  2θ (°)  d/Å  Rel. int.
2 1 3  35.1  2.560  100
3 1 0  39.1  2.302  68
1 1 4  33.7  2.660  35
2 0 4  38.1  2.363  31
2 1 1  28.3  3.150  19
3 3 4  61.8  1.502  16
2 2 0  34.9  2.574  15
4 0 4  58.8  1.570  13
4 2 0  56.5  1.628  11
4 1 3  56.7  1.624  11
2 1 7  59.3  1.559  10
0 0 6  43.7  2.071  8

---

Diffraction record for Zr6NiCl15. The XRD peak list is calculated, not measured: it uses a DFT-relaxed cell (PBE, Alexandria) and Cu Kα.

Crystal structure
```
data_Zr6NiCl15
_chemical_formula_sum 'Zr12 Ni2 Cl30'
_symmetry_space_group_name_H-M 'I m -3 m'
_symmetry_Int_Tables_number 229
_symmetry_space_group_name_Hall '-I 4 2 3'
_cell_length_a 10.396
_cell_length_b 10.396
_cell_length_c 10.396
_cell_angle_alpha 90.00
_cell_angle_beta 90.00
_cell_angle_gamma 90.00
loop_
_atom_site_label
_atom_site_fract_x
_atom_site_fract_y
_atom_site_fract_z
Zr1 0.000 0.000 0.241
Ni1 0.000 0.000 0.000
Cl1 0.000 0.000 0.500
Cl2 0.000 0.246 0.246
```

Top 12 peaks for 2θ = 5–70°, in order of falling intensity:
hkl  2θ (°)  d/Å  Rel. int.
1 1 0  12.0  7.351  100
4 0 0  34.5  2.599  88
4 4 0  49.6  1.838  57
2 1 1  20.9  4.244  20
5 1 0  44.4  2.039  20
4 4 4  61.8  1.501  18
3 2 1  32.2  2.778  18
2 0 0  17.1  5.198  18
3 1 0  27.1  3.287  17
4 1 1  36.7  2.450  15
5 4 1  57.4  1.604  10
4 2 0  38.7  2.325  9

---

Diffraction record for MnInTc2. The XRD peak list is calculated, not measured: it uses a DFT-relaxed cell (PBE, Alexandria) and Cu Kα.

Crystal structure
```
data_MnInTc2
_chemical_formula_sum 'Mn1 In1 Tc2'
_symmetry_space_group_name_H-M 'P 1 2/m 1'
_symmetry_Int_Tables_number 10
_symmetry_space_group_name_Hall '-P 2y'
_cell_length_a 2.801
_cell_length_b 4.049
_cell_length_c 5.599
_cell_angle_alpha 90.00
_cell_angle_beta 98.40
_cell_angle_gamma 90.00
loop_
_atom_site_label
_atom_site_fract_x
_atom_site_fract_y
_atom_site_fract_z
Mn1 0.000 0.000 0.000
In1 0.000 0.000 0.500
Tc1 0.404 0.500 0.217
```

Top 12 peaks for 2θ = 5–70°, in order of falling intensity:
hkl  2θ (°)  d/Å  Rel. int.
0 1 2  39.4  2.286  100
1 0 -2  42.7  2.120  23
0 2 0  44.8  2.025  20
1 2 -2  63.5  1.464  13
0 1 1  27.3  3.269  12
1 2 2  69.2  1.358  11
1 0 1  38.4  2.345  10
1 0 2  49.8  1.830  8
1 1 -1  40.8  2.210  7
0 0 4  67.7  1.385  6
1 2 1  60.4  1.532  5
0 0 3  49.4  1.846  3

---

Diffraction record for Hf5VTc6. The XRD peak list is calculated, not measured: it uses a DFT-relaxed cell (PBE, Alexandria) and Cu Kα.

Crystal structure
```
data_Hf5VTc6
_chemical_formula_sum 'Hf10 V2 Tc12'
_symmetry_space_group_name_H-M 'I m m m'
_symmetry_Int_Tables_number 71
_symmetry_space_group_name_Hall '-I 2 2'
_cell_length_a 4.571
_cell_length_b 6.454
_cell_length_c 13.677
_cell_angle_alpha 90.00
_cell_angle_beta 90.00
_cell_angle_gamma 90.00
loop_
_atom_site_label
_atom_site_fract_x
_atom_site_fract_y
_atom_site_fract_z
Hf1 0.000 0.000 0.000
Hf2 0.000 0.000 0.334
Hf3 0.000 0.500 0.334
V1 0.000 0.500 0.000
Tc1 0.000 0.240 0.500
Tc2 0.000 0.255 0.162
```

Top 12 peaks for 2θ = 5–70°, in order of falling intensity:
hkl  2θ (°)  d/Å  Rel. int.
2 0 0  39.5  2.283  100
2 0 6  57.1  1.614  20
0 0 6  39.5  2.279  20
0 2 0  27.6  3.228  7
1 0 9  64.6  1.443  2
0 2 6  48.9  1.863  2
1 1 2  27.2  3.275  2
1 1 0  23.9  3.727  2
0 1 1  15.2  5.837  2
1 0 1  20.5  4.335  1
1 1 4  35.6  2.520  1
0 0 2  12.9  6.838  1

---

Diffraction record for H3SeS. The XRD peak list is calculated, not measured: it uses a DFT-relaxed cell (PBE, Alexandria) and Cu Kα.

Crystal structure
```
data_H3SeS
_chemical_formula_sum 'H6 Se2 S2'
_symmetry_space_group_name_H-M 'P -1'
_symmetry_Int_Tables_number 2
_symmetry_space_group_name_Hall '-P 1'
_cell_length_a 5.229
_cell_length_b 5.811
_cell_length_c 8.435
_cell_angle_alpha 81.62
_cell_angle_beta 74.01
_cell_angle_gamma 66.01
loop_
_atom_site_label
_atom_site_fract_x
_atom_site_fract_y
_atom_site_fract_z
H1 0.112 0.345 0.268
H2 0.232 0.169 0.850
H3 0.257 0.652 0.741
Se1 0.264 0.947 0.970
S1 0.167 0.528 0.656
```

Top 12 peaks for 2θ = 5–70°, in order of falling intensity:
hkl  2θ (°)  d/Å  Rel. int.
0 0 1  10.9  8.102  100
0 1 -1  20.4  4.362  80
0 1 1  19.6  4.519  58
1 1 2  25.6  3.480  28
0 1 2  27.2  3.281  24
0 1 -2  28.2  3.162  24
2 1 1  34.4  2.610  21
0 0 3  33.2  2.701  20
0 0 2  21.9  4.051  19
2 0 2  39.9  2.259  18
0 1 0  16.7  5.306  17
0 2 0  33.8  2.653  16

---

Diffraction record for LiRe2Ni2. The XRD peak list is calculated, not measured: it uses a DFT-relaxed cell (PBE, Alexandria) and Cu Kα.

Crystal structure
```
data_LiRe2Ni2
_chemical_formula_sum 'Li2 Re4 Ni4'
_symmetry_space_group_name_H-M 'P 4/m b m'
_symmetry_Int_Tables_number 127
_symmetry_space_group_name_Hall '-P 4 2ab'
_cell_length_a 7.481
_cell_length_b 7.481
_cell_length_c 2.557
_cell_angle_alpha 90.00
_cell_angle_beta 90.00
_cell_angle_gamma 90.00
loop_
_atom_site_label
_atom_site_fract_x
_atom_site_fract_y
_atom_site_fract_z
Li1 0.000 0.000 0.000
Re1 0.122 0.378 0.500
Ni1 0.171 0.671 0.000
```

Top 12 peaks for 2θ = 5–70°, in order of falling intensity:
hkl  2θ (°)  d/Å  Rel. int.
1 1 0  16.8  5.290  100
2 1 1  44.6  2.032  89
2 1 0  26.6  3.345  35
3 1 0  38.0  2.366  34
3 2 0  43.6  2.075  31
3 2 1  57.2  1.611  25
4 0 0  48.7  1.870  24
4 0 1  61.4  1.510  15
1 1 1  39.1  2.302  14
3 3 0  51.9  1.763  9
0 0 1  35.1  2.557  9
3 1 1  52.7  1.737  6